# 1
Starting from a PBE-relaxed structure, the powder diffractogram of Ac3PdBr3 was calculated for a wavelength of 1.5418 Å.
Neutral-atom scattering factors, no anomalous dispersion.

Most intense lines, 10° ≤ 2θ ≤ 90°, low angle first:
| h k l | d (Å) | two_theta | I_rel |
| --- | --- | --- | --- |
| 1 0 1 | 7.635 | 11.59 | 22 |
| 0 0 4 | 3.264 | 27.32 | 56 |
| 2 1 0 | 3.213 | 27.76 | 100 |
| 4 0 0 | 2.411 | 37.30 | 16 |
| 2 1 -4 | 2.316 | 38.88 | 36 |
| 2 1 4 | 2.265 | 39.80 | 39 |
| 0 2 0 | 2.155 | 41.92 | 19 |
| 0 2 4 | 1.798 | 50.77 | 21 |

Structure:
Lattice parameters (Å, degrees): 9.6478 4.3101 13.0642 90.00 91.93 90.00
Space group P2_1/m (No. 11)
Asymmetric unit:
Ac 0.0868 0.2500 0.3818 [2 per cell]
Ac 0.1489 0.2500 0.8600 [2 per cell]
Ac 0.3426 0.7500 0.6247 [2 per cell]
Pd 0.1308 0.2500 0.6275 [2 per cell]
Br 0.1027 0.2500 0.1112 [2 per cell]
Br 0.3749 0.7500 0.3737 [2 per cell]
Br 0.3960 0.7500 0.8738 [2 per cell]



# 2
Starting from a PBE-relaxed structure, the powder diffractogram of ScMo2I was calculated for a wavelength of 1.5418 Å.
Neutral-atom scattering factors, no anomalous dispersion.

Most intense lines, 10° ≤ 2θ ≤ 90°, low angle first:
| h k l | d (Å) | two_theta | I_rel |
| --- | --- | --- | --- |
| 1 1 1 | 3.809 | 23.36 | 12 |
| 2 2 0 | 2.332 | 38.60 | 100 |
| 3 1 1 | 1.989 | 45.61 | 6 |
| 4 0 0 | 1.649 | 55.74 | 16 |
| 3 3 1 | 1.513 | 61.24 | 3 |
| 4 2 2 | 1.347 | 69.85 | 33 |
| 4 4 0 | 1.166 | 82.76 | 11 |
| 5 3 1 | 1.115 | 87.47 | 2 |

Structure:
Lattice parameters (Å, degrees): 6.5971 6.5971 6.5971 90.00 90.00 90.00
Space group Fm-3m (No. 225)
Asymmetric unit:
Sc 0.0000 0.0000 0.0000 [4 per cell]
Mo 0.2500 0.2500 0.2500 [8 per cell]
I 0.0000 0.0000 0.5000 [4 per cell]



# 3
Starting from a PBE-relaxed structure, the powder diffractogram of CaPuU2P4 was calculated for a wavelength of 1.5418 Å.
Neutral-atom scattering factors, no anomalous dispersion.

Most intense lines, 10° ≤ 2θ ≤ 90°, low angle first:
| h k l | d (Å) | two_theta | I_rel |
| --- | --- | --- | --- |
| 1 0 1 | 5.034 | 17.62 | 27 |
| 1 1 2 | 3.252 | 27.42 | 100 |
| 0 0 4 | 2.828 | 31.64 | 35 |
| 2 0 0 | 2.811 | 31.83 | 69 |
| 2 0 4 | 1.994 | 45.50 | 51 |
| 2 2 0 | 1.988 | 45.64 | 26 |
| 3 1 2 | 1.696 | 54.07 | 33 |
| 2 2 4 | 1.626 | 56.60 | 27 |

Structure:
Lattice parameters (Å, degrees): 5.6220 5.6220 11.3103 90.00 90.00 90.00
Space group I-4m2 (No. 119)
Asymmetric unit:
Ca 0.0000 0.0000 0.0000 [2 per cell]
Pu 0.0000 0.5000 0.7500 [2 per cell]
U 0.0000 0.0000 0.5000 [2 per cell]
U 0.0000 0.5000 0.2500 [2 per cell]
P 0.0000 0.0000 0.2588 [4 per cell]
P 0.0000 0.5000 0.0040 [4 per cell]